[1]
This entry pairs a crystal structure of NaTl2Bi with its computed XRD peak list. Radiation: Cu Kα, 1.54184 Å. Structure: the GGA-PBE geometry in the Materials Project.
Peak positions follow from Bragg's law for the DFT cell and can differ from measured ones.

```
data_NaTl2Bi
_chemical_formula_sum 'Na4 Tl8 Bi4'
_symmetry_space_group_name_H-M 'F m -3 m'
_symmetry_Int_Tables_number 225
_symmetry_space_group_name_Hall '-F 4 2 3'
_cell_length_a 7.926
_cell_length_b 7.926
_cell_length_c 7.926
_cell_angle_alpha 90.00
_cell_angle_beta 90.00
_cell_angle_gamma 90.00
loop_
_atom_site_label
_atom_site_type_symbol
_atom_site_fract_x
_atom_site_fract_y
_atom_site_fract_z
_atom_site_occupancy
Na1 Na 0.000 0.000 0.000 1
Tl1 Tl 0.250 0.250 0.250 1
Bi1 Bi 0.000 0.000 0.500 1
```

Principal peaks in the range 2θ = 10–90°, in order of rising 2θ:
d (Å)	2theta	intensity	hkl
4.576	19.40	18	1 1 1
3.963	22.43	9	2 0 0
2.802	31.94	100	2 2 0
2.390	37.64	11	3 1 1
1.982	45.79	19	4 0 0
1.818	50.17	5	3 3 1
1.618	56.91	40	4 2 2
1.525	60.72	4	5 1 1
1.401	66.76	12	4 4 0
1.340	70.26	4	5 3 1
1.253	75.93	17	6 2 0
1.144	84.73	4	4 4 4

[2]
This entry pairs a crystal structure of H with its computed XRD peak list. Radiation: Cu Kα, 1.54184 Å. Structure: the GGA-PBE geometry in the Materials Project.
Peak positions follow from Bragg's law for the DFT cell and can differ from measured ones.

```
data_H
_chemical_formula_sum 'H4'
_symmetry_space_group_name_H-M 'P 63/m m c'
_symmetry_Int_Tables_number 194
_symmetry_space_group_name_Hall '-P 6c 2c'
_cell_length_a 3.7620
_cell_length_b 3.7620
_cell_length_c 4.5348
_cell_angle_alpha 90.00
_cell_angle_beta 90.00
_cell_angle_gamma 120.00
loop_
_atom_site_label
_atom_site_type_symbol
_atom_site_fract_x
_atom_site_fract_y
_atom_site_fract_z
_atom_site_occupancy
H1 H 0.3333 0.6667 0.1673 1
```

Principal peaks in the range 2θ = 10–90°, in order of rising 2θ:
d (Å)	2theta	intensity	hkl
3.258	27.38	52	1 0 0
2.646	33.88	100	1 0 1
2.267	39.75	4	0 0 2
1.881	48.39	15	1 1 0
1.861	48.94	2	1 0 2
1.629	56.49	2	2 0 0
1.533	60.38	5	2 0 1
1.448	64.35	1	1 1 2
1.188	80.89	1	2 1 1

[3]
This entry pairs a crystal structure of SrYMg14O16 with its computed XRD peak list. Radiation: Cu Kα, 1.54184 Å. Structure: the GGA-PBE geometry in the Materials Project.
Peak positions follow from Bragg's law for the DFT cell and can differ from measured ones.

```
data_SrYMg14O16
_chemical_formula_sum 'Sr1 Y1 Mg14 O16'
_symmetry_space_group_name_H-M 'P m m m'
_symmetry_Int_Tables_number 47
_cell_length_a 4.480
_cell_length_b 8.800
_cell_length_c 8.941
_cell_angle_alpha 90.00
_cell_angle_beta 90.00
_cell_angle_gamma 90.00
loop_
_symmetry_equiv_pos_as_xyz
'x,y,z'
'-x,-y,-z'
'-x,-y,z'
'x,y,-z'
'x,-y,-z'
'-x,y,z'
'-x,y,-z'
'x,-y,z'
loop_
_atom_site_label
_atom_site_type_symbol
_atom_site_fract_x
_atom_site_fract_y
_atom_site_fract_z
_atom_site_occupancy
Sr1 Sr 0.000 0.000 0.000 1
Y1 Y 0.000 0.000 0.500 1
Mg1 Mg 0.000 0.264 0.247 1
Mg2 Mg 0.000 0.500 0.000 1
Mg3 Mg 0.000 0.500 0.500 1
Mg4 Mg 0.500 0.000 0.246 1
Mg5 Mg 0.500 0.262 0.000 1
Mg6 Mg 0.500 0.264 0.500 1
Mg7 Mg 0.500 0.500 0.249 1
O1 O 0.000 0.000 0.259 1
O2 O 0.000 0.261 0.500 1
O3 O 0.000 0.273 0.000 1
O4 O 0.000 0.500 0.253 1
O5 O 0.500 0.000 0.000 1
O6 O 0.500 0.000 0.500 1
O7 O 0.500 0.250 0.249 1
O8 O 0.500 0.500 0.000 1
O9 O 0.500 0.500 0.500 1
```

Principal peaks in the range 2θ = 10–90°, in order of rising 2θ:
d (Å)	2theta	intensity	hkl
8.800	10.05	22	0 1 0
4.475	19.84	16	0 0 2
3.992	22.27	11	1 1 0
3.986	22.31	11	0 1 2
3.137	28.45	14	1 2 0
2.978	30.01	13	1 1 2
2.569	34.93	35	1 2 2
2.238	40.31	100	2 0 0
2.200	41.03	45	0 4 0
1.582	58.32	29	2 0 4
1.569	58.87	55	2 4 0
1.284	73.77	25	2 4 4